1.
# PbSe
Simulated X-ray powder pattern, λ = 1.5418 Å (Cu Kα). Input: a DFT-relaxed cell (PBE, the Materials Project).
Kinematic intensities with the Lorentz-polarization factor, no thermal factor.

Top 10 peaks for 5° ≤ 2θ ≤ 70°, in order of rising 2θ:
- (0 2 0), 2θ = 7.37°, d 12.001, intensity 100.0
- (1 3 1), 2θ = 23.01°, d 3.865, intensity 8.3
- (1 5 1), 2θ = 27.45°, d 3.250, intensity 7.3
- (2 0 0), 2θ = 28.59°, d 3.122, intensity 17.6
- (2 2 0), 2θ = 29.57°, d 3.021, intensity 17.9
- (0 8 0), 2θ = 29.78°, d 3.000, intensity 7.6
- (2 0 2), 2θ = 40.88°, d 2.207, intensity 6.8
- (2 2 2), 2θ = 41.60°, d 2.171, intensity 7.2
- (2 8 0), 2θ = 41.76°, d 2.163, intensity 12.2
- (2 8 2), 2θ = 51.39°, d 1.778, intensity 6.7

Structure:
Cell: 6.236 24.002 6.251 Å, 90.00 90.00 90.00°
Space group Fmm2 (No. 42)
Unique sites:
Pb 0.000 0.193 0.000 x8
Se 0.000 0.189 0.513 x8


2.
# MgTi2Hg2O6
Simulated X-ray powder pattern, λ = 1.5418 Å (Cu Kα). Input: a DFT-relaxed cell (PBE, the Materials Project).
Kinematic intensities with the Lorentz-polarization factor, no thermal factor.

Top 10 peaks for 5° ≤ 2θ ≤ 70°, in order of rising 2θ:
- (0 1 0), 2θ = 15.90°, d 5.575, intensity 100.0
- (0 1 1), 2θ = 21.37°, d 4.159, intensity 23.7
- (0 1 -1), 2θ = 25.06°, d 3.554, intensity 51.2
- (1 1 2), 2θ = 30.65°, d 2.917, intensity 45.8
- (1 0 2), 2θ = 30.91°, d 2.893, intensity 27.1
- (2 1 1), 2θ = 31.69°, d 2.824, intensity 47.2
- (0 2 0), 2θ = 32.11°, d 2.787, intensity 22.6
- (2 0 1), 2θ = 32.26°, d 2.775, intensity 40.1
- (-1 1 1), 2θ = 33.93°, d 2.642, intensity 32.9
- (0 2 -1), 2θ = 38.85°, d 2.318, intensity 49.1

Structure:
Cell: 5.782 5.873 6.028 Å, 74.76 61.81 73.95°
Space group P1 (No. 1)
Unique sites:
Mg 0.000 0.000 0.000 x1
Ti 0.212 0.556 0.699 x1
Ti 0.611 0.952 0.710 x1
Hg 0.498 0.377 0.114 x1
Hg 0.919 0.442 0.344 x1
O 0.274 0.224 0.797 x1
O 0.325 0.757 0.820 x1
O 0.389 0.623 0.362 x1
O 0.728 0.125 0.863 x1
O 0.772 0.005 0.376 x1
O 0.856 0.675 0.784 x1


3.
# GeN2F6
Simulated X-ray powder pattern, λ = 1.5418 Å (Cu Kα). Input: a DFT-relaxed cell (PBE, the Materials Project).
Kinematic intensities with the Lorentz-polarization factor, no thermal factor.

Top 10 peaks for 5° ≤ 2θ ≤ 70°, in order of rising 2θ:
- (0 0 1), 2θ = 17.87°, d 4.963, intensity 51.1
- (1 0 0), 2θ = 19.81°, d 4.482, intensity 100.0
- (1 0 1), 2θ = 26.80°, d 3.326, intensity 93.5
- (1 1 0), 2θ = 34.67°, d 2.588, intensity 13.4
- (1 1 1), 2θ = 39.26°, d 2.295, intensity 18.4
- (1 0 2), 2θ = 41.60°, d 2.171, intensity 19.6
- (2 0 1), 2θ = 44.35°, d 2.042, intensity 60.1
- (1 1 2), 2θ = 50.99°, d 1.791, intensity 17.0
- (2 0 2), 2θ = 55.23°, d 1.663, intensity 31.7
- (2 1 1), 2θ = 57.48°, d 1.603, intensity 20.2

Structure:
Cell: 5.1753 5.1753 4.9633 Å, 90.00 90.00 120.00°
Space group P-3m1 (No. 164)
Unique sites:
Ge 0.0000 0.0000 0.0000 x1
N 0.3333 0.6667 0.2867 x2
F 0.1626 0.3253 0.7812 x6


4.
# Ti3VS4
Simulated X-ray powder pattern, λ = 1.5418 Å (Cu Kα). Input: a DFT-relaxed cell (PBE, the Materials Project).
Kinematic intensities with the Lorentz-polarization factor, no thermal factor.

Top 10 peaks for 5° ≤ 2θ ≤ 70°, in order of rising 2θ:
- (0 0 2), 2θ = 27.99°, d 3.188, intensity 2.9
- (2 0 0), 2θ = 31.84°, d 2.810, intensity 29.1
- (2 0 1), 2θ = 34.89°, d 2.571, intensity 36.7
- (1 1 -2), 2θ = 42.90°, d 2.108, intensity 100.0
- (2 0 -3), 2θ = 54.11°, d 1.695, intensity 9.0
- (0 2 0), 2θ = 56.63°, d 1.625, intensity 10.6
- (3 1 0), 2θ = 56.79°, d 1.621, intensity 21.0
- (0 0 4), 2θ = 57.85°, d 1.594, intensity 9.8
- (2 0 -4), 2θ = 67.57°, d 1.386, intensity 5.5
- (2 2 1), 2θ = 68.30°, d 1.373, intensity 2.9

Structure:
Cell: 5.610 3.251 6.375 Å, 90.00 90.01 90.00°
Space group P2/m (No. 10)
Unique sites:
Ti 0.000 0.000 0.000 x1
Ti 0.000 0.000 0.500 x1
Ti 0.500 0.500 0.000 x1
V 0.500 0.500 0.500 x1
S 0.170 0.500 0.253 x2
S 0.337 0.000 0.746 x2


5.
# Mg16Si8HO32
Simulated X-ray powder pattern, λ = 1.5418 Å (Cu Kα). Input: a DFT-relaxed cell (PBE, the Materials Project).
Kinematic intensities with the Lorentz-polarization factor, no thermal factor.

Top 10 peaks for 5° ≤ 2θ ≤ 70°, in order of rising 2θ:
- (1 0 2), 2θ = 22.49°, d 3.953, intensity 69.2
- (0 2 -3), 2θ = 31.78°, d 2.816, intensity 63.2
- (-1 2 3), 2θ = 35.09°, d 2.557, intensity 58.4
- (2 2 -1), 2θ = 35.91°, d 2.500, intensity 100.0
- (2 2 -2), 2θ = 39.05°, d 2.307, intensity 34.8
- (0 2 4), 2θ = 39.37°, d 2.289, intensity 32.4
- (2 4 2), 2θ = 51.33°, d 1.780, intensity 33.2
- (2 -4 2), 2θ = 51.39°, d 1.778, intensity 35.6
- (4 0 0), 2θ = 60.86°, d 1.522, intensity 31.4
- (2 0 6), 2θ = 61.53°, d 1.507, intensity 22.2

Structure:
Cell: 6.088 9.672 10.392 Å, 89.86 89.85 89.96°
Space group P1 (No. 1)
Unique sites:
Mg 0.000 0.000 0.000 x1
Mg 0.000 0.237 0.496 x1
Mg 0.021 0.511 0.019 x1
Mg 0.250 0.997 0.278 x1
Mg 0.251 0.495 0.281 x1
Mg 0.251 0.748 0.776 x1
Mg 0.254 0.238 0.776 x1
Mg 0.497 0.752 0.058 x1
Mg 0.499 0.492 0.554 x1
Mg 0.499 0.988 0.553 x1
Mg 0.503 0.249 0.055 x1
Mg 0.741 0.233 0.766 x1
Mg 0.749 0.495 0.279 x1
Mg 0.749 0.996 0.278 x1
Mg 0.750 0.746 0.776 x1
Mg 0.999 0.743 0.499 x1
Si 0.000 0.785 0.185 x1
Si 0.000 0.958 0.682 x1
Si 0.001 0.282 0.182 x1
Si 0.496 0.530 0.869 x1
Si 0.499 0.028 0.874 x1
Si 0.499 0.709 0.373 x1
Si 0.500 0.209 0.373 x1
Si 0.998 0.464 0.672 x1
H 0.843 0.446 0.865 x1
O 0.000 0.112 0.184 x1
O 0.000 0.355 0.329 x1
O 0.001 0.129 0.684 x1
O 0.001 0.886 0.829 x1
O 0.002 0.614 0.189 x1
O 0.215 0.884 0.613 x1
O 0.216 0.858 0.115 x1
O 0.218 0.382 0.622 x1
O 0.219 0.358 0.114 x1
O 0.283 0.633 0.441 x1
O 0.284 0.107 0.941 x1
O 0.284 0.134 0.441 x1
O 0.290 0.608 0.943 x1
O 0.495 0.098 0.725 x1
O 0.496 0.607 0.724 x1
O 0.498 0.359 0.865 x1
O 0.499 0.879 0.371 x1
O 0.500 0.379 0.371 x1
O 0.500 0.635 0.226 x1
O 0.501 0.136 0.226 x1
O 0.502 0.858 0.874 x1
O 0.715 0.134 0.442 x1
O 0.715 0.634 0.442 x1
O 0.717 0.106 0.938 x1
O 0.728 0.592 0.932 x1
O 0.783 0.382 0.612 x1
O 0.783 0.855 0.114 x1
O 0.783 0.885 0.615 x1
O 0.787 0.358 0.112 x1
O 0.980 0.396 0.831 x1
O 0.999 0.631 0.681 x1
O 0.999 0.858 0.330 x1


6.
# Al2O3
Simulated X-ray powder pattern, λ = 1.5418 Å (Cu Kα). Input: a DFT-relaxed cell (PBE, the Materials Project).
Kinematic intensities with the Lorentz-polarization factor, no thermal factor.

Top 10 peaks for 5° ≤ 2θ ≤ 70°, in order of rising 2θ:
- (0 0 1), 2θ = 12.74°, d 6.950, intensity 26.8
- (2 0 0), 2θ = 18.08°, d 4.907, intensity 59.8
- (2 0 1), 2θ = 25.09°, d 3.549, intensity 100.0
- (1 1 0), 2θ = 29.36°, d 3.042, intensity 54.0
- (1 1 -1), 2θ = 31.00°, d 2.885, intensity 66.0
- (2 0 -3), 2θ = 37.78°, d 2.381, intensity 48.3
- (4 0 1), 2θ = 42.51°, d 2.127, intensity 24.7
- (3 1 1), 2θ = 44.14°, d 2.052, intensity 19.5
- (0 2 0), 2θ = 57.62°, d 1.600, intensity 28.7
- (3 1 -4), 2θ = 59.90°, d 1.544, intensity 18.6

Structure:
Cell: 10.263 3.200 7.268 Å, 90.00 107.01 90.00°
Space group C2/m (No. 12)
Unique sites:
Al 0.093 0.000 0.406 x4
Al 0.250 0.000 0.843 x4
O 0.090 0.000 0.656 x4
O 0.155 0.500 0.353 x4
O 0.182 0.000 0.069 x4


7.
# UAl2
Simulated X-ray powder pattern, λ = 1.5418 Å (Cu Kα). Input: a DFT-relaxed cell (PBE, the Materials Project).
Kinematic intensities with the Lorentz-polarization factor, no thermal factor.

Top 9 peaks for 5° ≤ 2θ ≤ 70°, in order of rising 2θ:
- (1 1 1), 2θ = 19.92°, d 4.458, intensity 74.9
- (2 2 0), 2θ = 32.81°, d 2.730, intensity 100.0
- (3 1 1), 2θ = 38.68°, d 2.328, intensity 88.1
- (2 2 2), 2θ = 40.47°, d 2.229, intensity 2.1
- (4 0 0), 2θ = 47.08°, d 1.930, intensity 11.0
- (3 3 1), 2θ = 51.60°, d 1.771, intensity 20.2
- (4 2 2), 2θ = 58.57°, d 1.576, intensity 40.0
- (5 1 1), 2θ = 62.51°, d 1.486, intensity 29.8
- (4 4 0), 2θ = 68.78°, d 1.365, intensity 19.0

Structure:
Cell: 7.721 7.721 7.721 Å, 90.00 90.00 90.00°
Space group Fd-3m (No. 227, origin choice 2)
Unique sites:
U 0.125 0.125 0.125 x8
Al 0.000 0.000 0.500 x16